Li4V5CuClO15: calculated XRD peak list (Cu Kα (weighted mean of Kα1 and Kα2)), based on a crystal structure in Alexandria, relaxed with GGA+U.

Structure:
a b c (Å): 8.9551 8.9551 5.5955
angles (deg): 90.00 90.00 90.00
Space group P4 (No. 75)
Asymmetric unit:
Li  0.1736  0.8150  0.0000 [4 per cell]
V  0.1412  0.3578  0.4658 [4 per cell]
V  0.5000  0.5000  0.4272 [1 per cell]
Cu  0.0000  0.0000  0.3604 [1 per cell]
Cl  0.0000  0.0000  0.8297 [1 per cell]
O  0.0000  0.5000  0.4325 [2 per cell]
O  0.0855  0.2003  0.3040 [4 per cell]
O  0.1643  0.3157  0.7531 [4 per cell]
O  0.3099  0.4210  0.3410 [4 per cell]
O  0.5000  0.5000  0.7142 [1 per cell]

Most intense lines, 2θ from 10° to 90°, in order of rising 2θ:
h k l, 2θ (°), I/Imax
1 1 0, 13.99, 15
0 0 1, 15.84, 100
1 2 0, 22.20, 74
2 1 1, 27.39, 42
2 2 0, 28.19, 13
1 3 0, 31.59, 25
0 0 2, 31.99, 15
1 1 2, 35.06, 9
3 1 1, 35.53, 16
1 2 2, 39.28, 10
4 2 0, 45.29, 14
4 2 1, 48.27, 8